Starting from a structure optimized by DFT (PBE), the powder diffractogram of Na2Ga4SnAu3 was simulated for Cu Kα (λ = 1.5418 Å).
Peak positions follow from Bragg's law for the DFT cell and can differ from measured ones.

Peak list (6 most intense, 15° ≤ 2θ ≤ 90°, in order of rising 2θ)
(hkl)	2θ/deg	Rel. int.
0 0 2	15.33	42
1 0 1	21.82	90
1 1 1	30.04	38
1 1 2	32.97	85
2 0 0	41.49	71
1 1 4	42.93	100

Structure:
a b c (Å): 4.3532 4.3532 11.5573
angles (deg): 90.00 90.00 90.00
Element x y z (fractional)
Na: 0.0000 0.5000 0.2376
Na: 0.5000 0.0000 0.7624
Ga: 0.0000 0.0000 0.0000
Ga: 0.0000 0.5000 0.6502
Ga: 0.5000 0.0000 0.3498
Ga: 0.5000 0.5000 0.0000
Sn: 0.0000 0.0000 0.5000
Au: 0.0000 0.5000 0.8678
Au: 0.5000 0.0000 0.1322
Au: 0.5000 0.5000 0.5000